Entry 1:
# AcBeSiIr3
Theoretical XRD peak list, copper Kα. Input: a cell relaxed with PBE.
Kinematic intensities with the Lorentz-polarization factor, no thermal factor.

```
data_AcBeSiIr3
_chemical_formula_sum 'Ac2 Be2 Si2 Ir6'
_symmetry_space_group_name_H-M 'P 1'
_symmetry_Int_Tables_number 1
_symmetry_space_group_name_Hall 'P 1'
_cell_length_a 6.687
_cell_length_b 6.687
_cell_length_c 5.927
_cell_angle_alpha 90.00
_cell_angle_beta 90.00
_cell_angle_gamma 126.08
loop_
_atom_site_label
_atom_site_fract_x
_atom_site_fract_y
_atom_site_fract_z
Ac1 0.239 0.761 0.750
Ac2 0.761 0.239 0.250
Be1 0.497 0.503 0.250
Be2 0.503 0.497 0.750
Si1 0.112 0.888 0.250
Si2 0.888 0.112 0.750
Ir1 0.234 0.234 0.000
Ir2 0.234 0.234 0.500
Ir3 0.305 0.695 0.250
Ir4 0.695 0.305 0.750
Ir5 0.766 0.766 0.000
Ir6 0.766 0.766 0.500
```

Largest 12 diffraction maxima, low angle first, 10 to 80 degrees two-theta:
2θ/deg, intensity
30.0, 45
33.2, 100
33.7, 12
33.8, 97
42.7, 64
43.6, 11
45.3, 11
53.0, 37
55.3, 11
55.7, 11
71.7, 24
72.8, 21

***

Entry 2:
# KAcBe2O4
Theoretical XRD peak list, copper Kα. Input: a cell relaxed with PBE.
Kinematic intensities with the Lorentz-polarization factor, no thermal factor.

```
data_KAcBe2O4
_chemical_formula_sum 'K2 Ac2 Be4 O8'
_symmetry_space_group_name_H-M 'P 1'
_symmetry_Int_Tables_number 1
_symmetry_space_group_name_Hall 'P 1'
_cell_length_a 5.845
_cell_length_b 5.845
_cell_length_c 6.642
_cell_angle_alpha 90.00
_cell_angle_beta 90.00
_cell_angle_gamma 90.00
loop_
_atom_site_label
_atom_site_fract_x
_atom_site_fract_y
_atom_site_fract_z
K1 0.000 0.000 0.000
K2 0.500 0.500 0.500
Ac1 0.000 0.000 0.500
Ac2 0.500 0.500 0.000
Be1 0.000 0.500 0.250
Be2 0.000 0.500 0.750
Be3 0.500 0.000 0.250
Be4 0.500 0.000 0.750
O1 0.175 0.325 0.750
O2 0.175 0.675 0.250
O3 0.325 0.175 0.250
O4 0.325 0.825 0.750
O5 0.675 0.175 0.750
O6 0.675 0.825 0.250
O7 0.825 0.325 0.250
O8 0.825 0.675 0.750
```

Largest 12 diffraction maxima, low angle first, 10 to 80 degrees two-theta:
2θ/deg, intensity
20.2, 100
21.5, 76
30.6, 32
34.6, 70
37.0, 50
41.1, 43
43.8, 34
49.3, 24
52.1, 14
54.3, 17
57.0, 25
72.3, 15

***

Entry 3:
# AcLaBeN2
Theoretical XRD peak list, copper Kα. Input: a cell relaxed with PBE.
Kinematic intensities with the Lorentz-polarization factor, no thermal factor.

```
data_AcLaBeN2
_chemical_formula_sum 'Ac1 La1 Be1 N2'
_symmetry_space_group_name_H-M 'P 1'
_symmetry_Int_Tables_number 1
_symmetry_space_group_name_Hall 'P 1'
_cell_length_a 4.021
_cell_length_b 4.131
_cell_length_c 6.347
_cell_angle_alpha 90.00
_cell_angle_beta 107.90
_cell_angle_gamma 90.00
loop_
_atom_site_label
_atom_site_fract_x
_atom_site_fract_y
_atom_site_fract_z
Ac1 0.000 0.000 0.000
La1 0.000 0.500 0.500
Be1 0.500 0.000 0.500
N1 0.368 0.000 0.704
N2 0.632 0.000 0.296
```

Largest 12 diffraction maxima, low angle first, 10 to 80 degrees two-theta:
2θ/deg, intensity
23.2, 62
26.1, 100
29.6, 36
31.6, 38
32.0, 62
38.3, 47
43.8, 17
49.4, 20
50.2, 18
50.5, 40
53.8, 14
55.0, 16

***

Entry 4:
# Ac2LaBeO5
Theoretical XRD peak list, copper Kα. Input: a cell relaxed with PBE.
Kinematic intensities with the Lorentz-polarization factor, no thermal factor.

```
data_Ac2LaBeO5
_chemical_formula_sum 'Ac4 La2 Be2 O10'
_symmetry_space_group_name_H-M 'P 1'
_symmetry_Int_Tables_number 1
_symmetry_space_group_name_Hall 'P 1'
_cell_length_a 6.970
_cell_length_b 6.970
_cell_length_c 5.641
_cell_angle_alpha 90.00
_cell_angle_beta 90.00
_cell_angle_gamma 90.00
loop_
_atom_site_label
_atom_site_fract_x
_atom_site_fract_y
_atom_site_fract_z
Ac1 0.172 0.328 0.000
Ac2 0.328 0.828 0.000
Ac3 0.672 0.172 0.000
Ac4 0.828 0.672 0.000
La1 0.000 0.000 0.500
La2 0.500 0.500 0.500
Be1 0.000 0.500 0.500
Be2 0.500 0.000 0.500
O1 0.000 0.000 0.000
O2 0.131 0.631 0.279
O3 0.131 0.631 0.721
O4 0.369 0.131 0.279
O5 0.369 0.131 0.721
O6 0.500 0.500 0.000
O7 0.631 0.869 0.279
O8 0.631 0.869 0.721
O9 0.869 0.369 0.279
O10 0.869 0.369 0.721
```

Largest 12 diffraction maxima, low angle first, 10 to 80 degrees two-theta:
2θ/deg, intensity
15.7, 58
24.0, 42
28.6, 47
30.1, 77
31.7, 36
32.8, 100
40.9, 37
43.3, 58
52.7, 26
56.9, 25
58.5, 27
64.2, 18

***

Entry 5:
# AcMgBe2Si2
Theoretical XRD peak list, copper Kα. Input: a cell relaxed with PBE.
Kinematic intensities with the Lorentz-polarization factor, no thermal factor.

```
data_AcMgBe2Si2
_chemical_formula_sum 'Ac1 Mg1 Be2 Si2'
_symmetry_space_group_name_H-M 'P 1'
_symmetry_Int_Tables_number 1
_symmetry_space_group_name_Hall 'P 1'
_cell_length_a 3.985
_cell_length_b 3.985
_cell_length_c 7.968
_cell_angle_alpha 90.00
_cell_angle_beta 90.00
_cell_angle_gamma 120.00
loop_
_atom_site_label
_atom_site_fract_x
_atom_site_fract_y
_atom_site_fract_z
Ac1 0.000 0.000 0.000
Mg1 0.000 0.000 0.500
Be1 0.333 0.667 0.704
Be2 0.667 0.333 0.296
Si1 0.333 0.667 0.283
Si2 0.667 0.333 0.717
```

Largest 12 diffraction maxima, low angle first, 10 to 80 degrees two-theta:
2θ/deg, intensity
11.1, 89
22.3, 20
25.8, 59
28.2, 91
34.4, 100
43.0, 22
45.5, 38
47.0, 18
53.1, 29
58.3, 22
64.4, 18
76.9, 29